For MnZn2CrO4, a crystal structure in Alexandria, relaxed with PBE+U gives the theoretical PXRD pattern in this record (Cu Kα (λ = 1.5418 Å)).
Neutral-atom scattering factors, no anomalous dispersion.

Largest 12 diffraction maxima, sorted by position, 10 to 80 degrees two-theta:
d (Å)	2θ/deg	I/Imax
3.975	22.37	4
2.552	35.16	100
2.418	37.18	1
2.240	40.27	98
2.155	41.92	43
1.951	46.55	2
1.643	55.96	1
1.584	58.26	29
1.553	59.53	54
1.346	69.91	27
1.308	72.21	12
1.276	74.33	25

Structural model:
```
MnZn2CrO4
1.0
-2.2396 2.2396 4.3098
2.2396 -2.2396 4.3098
2.2396 2.2396 -4.3098
Mn Zn Cr O
1 2 1 4
Direct
0.0000 0.0000 0.0000
0.2500 0.7500 0.5000
0.5000 0.5000 0.0000
0.7500 0.2500 0.5000
0.2560 0.2560 0.0000
0.5052 0.0052 0.5000
0.7440 0.7440 0.0000
0.9948 0.4948 0.5000
```